Theoretical PXRD pattern of CaAs2Ir for Cu Ka, from a crystal structure in Alexandria, relaxed with PBE.
Neutral-atom scattering factors, no anomalous dispersion.

```
8
Lattice="7.080 0.000 0.000 0.000 4.106 0.000 -2.394 0.000 5.510" Properties=species:S:1:pos:R:3 pbc="T T T"
Ca 0.000 0.000 0.000
Ca 3.540 2.053 0.000
As -0.023 0.000 3.726
As 1.169 2.053 1.784
As 3.517 2.053 3.726
As 4.709 0.000 1.784
Ir -1.197 2.053 2.755
Ir 2.343 0.000 2.755
```

The 10 most intense peaks (10° ≤ 2θ ≤ 90°), by angle:
index	2theta	I_rel
0 0 1	16.09	69
1 1 0	25.68	22
1 1 1	33.28	100
0 2 0	44.11	18
3 1 -1	44.27	35
1 1 2	46.23	17
0 2 1	47.28	19
3 1 0	47.48	9
1 1 -3	51.07	12
2 2 -2	56.32	15